Structure and calculated PXRD pattern of SrNdNiBiO6 (DFT lattice parameters and positions (PBE+U); Cu Kα).
Kinematic intensities with the Lorentz-polarization factor, no thermal factor.

Main lines, by intensity (5° ≤ 2θ ≤ 70°):
2θ (°)	I (rel.)
30.97	100
55.09	41
44.37	30
18.82	21
64.55	19
36.49	14

```
SrNdNiBiO6
1.0
0.0000 4.0835 4.0835
4.0835 0.0000 4.0835
4.0835 4.0835 0.0000
Sr Nd Ni Bi O
1 1 1 1 6
Direct
0.0000 0.0000 0.0000
0.5000 0.5000 0.5000
0.2500 0.2500 0.2500
0.7500 0.7500 0.7500
0.0044 0.0044 0.4956
0.0044 0.4956 0.0044
0.0044 0.4956 0.4956
0.4956 0.0044 0.0044
0.4956 0.0044 0.4956
0.4956 0.4956 0.0044
```